(1)
Diffraction record for Nd2Ni3Ge4Ru. The powder XRD pattern is calculated, not measured: it uses a DFT-relaxed cell (GGA-PBE, Alexandria) and Cu Kα.
Neutral-atom scattering factors, no anomalous dispersion.

Largest 6 diffraction maxima, in order of rising 2θ, 10° ≤ 2θ ≤ 90°:
| 2θ/deg | d_spacing | Rel. int. |
| --- | --- | --- |
| 34.58 | 2.594 | 61 |
| 35.49 | 2.529 | 100 |
| 43.61 | 2.075 | 57 |
| 50.80 | 1.797 | 23 |
| 56.81 | 1.621 | 29 |
| 74.80 | 1.269 | 22 |

Atomic structure:
a b c (Å): 4.151 4.151 9.969
angles (deg): 90.00 90.00 90.00
Fractional positions:
1 Nd 0.000 0.500 0.242
2 Nd 0.500 0.000 0.758
3 Ni 0.000 0.500 0.876
4 Ni 0.500 0.000 0.124
5 Ni 0.500 0.500 0.500
6 Ge 0.000 0.000 0.000
7 Ge 0.000 0.500 0.634
8 Ge 0.500 0.000 0.366
9 Ge 0.500 0.500 0.000
10 Ru 0.000 0.000 0.500

***

(2)
Diffraction record for KCaBi2. The powder XRD pattern is calculated, not measured: it uses a DFT-relaxed cell (GGA-PBE, Alexandria) and Cu Kα.
Neutral-atom scattering factors, no anomalous dispersion.

Largest 6 diffraction maxima, in order of rising 2θ, 10° ≤ 2θ ≤ 90°:
| 2θ/deg | d_spacing | Rel. int. |
| --- | --- | --- |
| 21.84 | 4.069 | 50 |
| 31.08 | 2.878 | 100 |
| 38.31 | 2.350 | 17 |
| 44.53 | 2.035 | 19 |
| 50.12 | 1.820 | 25 |
| 55.30 | 1.661 | 40 |

Atomic structure:
a b c (Å): 5.755 5.755 5.755
angles (deg): 60.00 60.00 60.00
Fractional positions:
1 K 0.000 0.000 0.000
2 Ca 0.500 0.500 0.500
3 Bi 0.250 0.250 0.250
4 Bi 0.750 0.750 0.750

***

(3)
Diffraction record for Nd2Mg. The powder XRD pattern is calculated, not measured: it uses a DFT-relaxed cell (GGA-PBE, Alexandria) and Cu Kα.
Neutral-atom scattering factors, no anomalous dispersion.

Largest 6 diffraction maxima, in order of rising 2θ, 10° ≤ 2θ ≤ 90°:
| 2θ/deg | d_spacing | Rel. int. |
| --- | --- | --- |
| 25.71 | 3.465 | 27 |
| 30.54 | 2.927 | 22 |
| 31.73 | 2.820 | 28 |
| 32.03 | 2.794 | 100 |
| 54.48 | 1.684 | 17 |
| 56.71 | 1.623 | 20 |

Atomic structure:
a b c (Å): 8.990 8.990 5.640
angles (deg): 90.00 90.00 155.27
Fractional positions:
1 Nd 0.087 0.913 0.750
2 Nd 0.228 0.772 0.250
3 Nd 0.772 0.228 0.750
4 Nd 0.913 0.087 0.250
5 Mg 0.431 0.569 0.750
6 Mg 0.569 0.431 0.250

***

(4)
Diffraction record for LiB8C8. The powder XRD pattern is calculated, not measured: it uses a DFT-relaxed cell (GGA-PBE, Alexandria) and Cu Kα.
Neutral-atom scattering factors, no anomalous dispersion.

Largest 6 diffraction maxima, in order of rising 2θ, 10° ≤ 2θ ≤ 90°:
| 2θ/deg | d_spacing | Rel. int. |
| --- | --- | --- |
| 12.43 | 7.121 | 30 |
| 16.32 | 5.431 | 100 |
| 27.29 | 3.268 | 42 |
| 32.98 | 2.716 | 29 |
| 38.79 | 2.321 | 54 |
| 42.97 | 2.105 | 25 |

Atomic structure:
a b c (Å): 6.768 2.727 7.272
angles (deg): 90.00 101.70 90.00
Fractional positions:
1 Li 0.000 0.000 0.000
2 B 0.050 0.000 0.705
3 B 0.229 0.500 0.563
4 B 0.298 0.500 0.973
5 B 0.475 0.000 0.283
6 B 0.525 0.000 0.717
7 B 0.702 0.500 0.027
8 B 0.771 0.500 0.437
9 B 0.950 0.000 0.295
10 C 0.119 0.000 0.487
11 C 0.122 0.500 0.805
12 C 0.405 0.000 0.059
13 C 0.478 0.500 0.603
14 C 0.522 0.500 0.397
15 C 0.595 0.000 0.941
16 C 0.878 0.500 0.195
17 C 0.881 0.000 0.513

***

(5)
Diffraction record for Rb6Tl3F14. The powder XRD pattern is calculated, not measured: it uses a DFT-relaxed cell (GGA-PBE, Alexandria) and Cu Kα.
Neutral-atom scattering factors, no anomalous dispersion.

Largest 6 diffraction maxima, in order of rising 2θ, 10° ≤ 2θ ≤ 90°:
| 2θ/deg | d_spacing | Rel. int. |
| --- | --- | --- |
| 17.38 | 5.102 | 37 |
| 17.91 | 4.954 | 52 |
| 22.77 | 3.905 | 35 |
| 25.06 | 3.554 | 100 |
| 30.97 | 2.888 | 35 |
| 36.27 | 2.477 | 28 |

Atomic structure:
a b c (Å): 9.907 9.907 6.346
angles (deg): 90.00 90.00 120.00
Fractional positions:
1 Rb 0.012 0.455 0.000
2 Rb 0.279 0.206 0.453
3 Rb 0.442 0.988 0.000
4 Rb 0.545 0.558 0.000
5 Rb 0.794 0.073 0.453
6 Rb 0.927 0.721 0.453
7 Tl 0.000 0.000 0.993
8 Tl 0.333 0.667 0.541
9 Tl 0.667 0.333 0.617
10 F 0.000 0.000 0.641
11 F 0.064 0.221 0.169
12 F 0.157 0.936 0.169
13 F 0.197 0.748 0.696
14 F 0.252 0.448 0.696
15 F 0.333 0.667 0.206
16 F 0.459 0.256 0.821
17 F 0.532 0.121 0.421
18 F 0.552 0.803 0.696
19 F 0.590 0.468 0.421
20 F 0.744 0.203 0.821
21 F 0.779 0.843 0.169
22 F 0.797 0.541 0.821
23 F 0.879 0.410 0.421

***

(6)
Diffraction record for CaMgAl2Zn2. The powder XRD pattern is calculated, not measured: it uses a DFT-relaxed cell (GGA-PBE, Alexandria) and Cu Kα.
Neutral-atom scattering factors, no anomalous dispersion.

Largest 6 diffraction maxima, in order of rising 2θ, 10° ≤ 2θ ≤ 90°:
| 2θ/deg | d_spacing | Rel. int. |
| --- | --- | --- |
| 26.36 | 3.382 | 54 |
| 34.36 | 2.610 | 100 |
| 40.65 | 2.220 | 84 |
| 54.25 | 1.691 | 25 |
| 67.51 | 1.387 | 20 |
| 69.94 | 1.345 | 22 |

Atomic structure:
a b c (Å): 4.439 4.439 7.110
angles (deg): 90.00 90.00 120.00
Fractional positions:
1 Ca 0.000 0.000 0.000
2 Mg 0.000 0.000 0.500
3 Al 0.333 0.667 0.717
4 Al 0.667 0.333 0.283
5 Zn 0.333 0.667 0.283
6 Zn 0.667 0.333 0.717

***

(7)
Diffraction record for Na3SrTiNb3O12. The powder XRD pattern is calculated, not measured: it uses a DFT-relaxed cell (GGA-PBE, Alexandria) and Cu Kα.
Neutral-atom scattering factors, no anomalous dispersion.

Largest 6 diffraction maxima, in order of rising 2θ, 10° ≤ 2θ ≤ 90°:
| 2θ/deg | d_spacing | Rel. int. |
| --- | --- | --- |
| 15.86 | 5.587 | 29 |
| 22.53 | 3.947 | 38 |
| 31.97 | 2.799 | 100 |
| 32.07 | 2.791 | 52 |
| 45.99 | 1.973 | 40 |
| 57.06 | 1.614 | 38 |

Atomic structure:
a b c (Å): 7.889 7.898 7.942
angles (deg): 90.13 90.13 90.15
Fractional positions:
1 Na 0.246 0.262 0.249
2 Na 0.251 0.251 0.751
3 Na 0.251 0.756 0.750
4 Na 0.749 0.244 0.250
5 Na 0.749 0.749 0.249
6 Na 0.754 0.738 0.751
7 Sr 0.250 0.763 0.251
8 Sr 0.750 0.237 0.749
9 Ti 0.000 0.500 0.000
10 Ti 0.500 0.000 0.500
11 Nb 0.000 0.000 0.000
12 Nb 0.000 0.000 0.500
13 Nb 0.000 0.500 0.500
14 Nb 0.500 0.000 0.000
15 Nb 0.500 0.500 0.000
16 Nb 0.500 0.500 0.500
17 O 0.023 0.521 0.249
18 O 0.032 0.033 0.750
19 O 0.039 0.750 0.980
20 O 0.043 0.750 0.522
21 O 0.249 0.463 0.985
22 O 0.250 0.030 0.462
23 O 0.250 0.033 0.041
24 O 0.250 0.458 0.517
25 O 0.457 0.750 0.979
26 O 0.460 0.751 0.519
27 O 0.471 0.029 0.750
28 O 0.475 0.522 0.250
29 O 0.525 0.478 0.750
30 O 0.529 0.971 0.250
31 O 0.540 0.249 0.481
32 O 0.543 0.250 0.021
33 O 0.750 0.542 0.483
34 O 0.750 0.967 0.959
35 O 0.750 0.970 0.538
36 O 0.751 0.537 0.015
37 O 0.957 0.250 0.478
38 O 0.961 0.250 0.020
39 O 0.968 0.967 0.250
40 O 0.977 0.479 0.751

***

(8)
Diffraction record for Ac2Pm2Dy5. The powder XRD pattern is calculated, not measured: it uses a DFT-relaxed cell (GGA-PBE, Alexandria) and Cu Kα.
Neutral-atom scattering factors, no anomalous dispersion.

Largest 6 diffraction maxima, in order of rising 2θ, 10° ≤ 2θ ≤ 90°:
| 2θ/deg | d_spacing | Rel. int. |
| --- | --- | --- |
| 29.95 | 2.983 | 15 |
| 30.34 | 2.946 | 100 |
| 31.40 | 2.849 | 46 |
| 31.70 | 2.823 | 17 |
| 39.09 | 2.304 | 16 |
| 48.70 | 1.870 | 16 |

Atomic structure:
a b c (Å): 3.741 7.456 12.143
angles (deg): 93.46 98.86 104.52
Fractional positions:
1 Ac 0.239 0.343 0.137
2 Ac 0.761 0.657 0.863
3 Pm 0.248 0.887 0.609
4 Pm 0.752 0.113 0.391
5 Dy 0.014 0.712 0.317
6 Dy 0.500 0.111 0.888
7 Dy 0.500 0.500 0.500
8 Dy 0.500 0.889 0.112
9 Dy 0.986 0.288 0.683

***

(9)
Diffraction record for Tl6Fe3Br14. The powder XRD pattern is calculated, not measured: it uses a DFT-relaxed cell (GGA-PBE, Alexandria) and Cu Kα.
Neutral-atom scattering factors, no anomalous dispersion.

Largest 6 diffraction maxima, in order of rising 2θ, 10° ≤ 2θ ≤ 90°:
| 2θ/deg | d_spacing | Rel. int. |
| --- | --- | --- |
| 19.96 | 4.448 | 43 |
| 21.75 | 4.085 | 100 |
| 29.17 | 3.061 | 52 |
| 31.20 | 2.867 | 59 |
| 34.04 | 2.634 | 85 |
| 35.39 | 2.537 | 40 |

Atomic structure:
a b c (Å): 11.934 11.934 6.671
angles (deg): 90.00 90.00 120.00
Fractional positions:
1 Tl 0.024 0.457 0.000
2 Tl 0.313 0.206 0.496
3 Tl 0.434 0.976 0.000
4 Tl 0.543 0.566 0.000
5 Tl 0.794 0.107 0.496
6 Tl 0.893 0.687 0.496
7 Fe 0.000 0.000 0.081
8 Fe 0.333 0.667 0.573
9 Fe 0.667 0.333 0.223
10 Br 0.000 0.000 0.727
11 Br 0.078 0.214 0.208
12 Br 0.136 0.922 0.208
13 Br 0.192 0.738 0.697
14 Br 0.262 0.454 0.697
15 Br 0.333 0.667 0.217
16 Br 0.458 0.261 0.009
17 Br 0.533 0.125 0.444
18 Br 0.546 0.808 0.697
19 Br 0.592 0.467 0.444
20 Br 0.739 0.197 0.009
21 Br 0.786 0.864 0.208
22 Br 0.803 0.542 0.009
23 Br 0.875 0.408 0.444

***

(10)
Diffraction record for CoHg7. The powder XRD pattern is calculated, not measured: it uses a DFT-relaxed cell (GGA-PBE, Alexandria) and Cu Kα.
Neutral-atom scattering factors, no anomalous dispersion.

Largest 6 diffraction maxima, in order of rising 2θ, 10° ≤ 2θ ≤ 90°:
| 2θ/deg | d_spacing | Rel. int. |
| --- | --- | --- |
| 34.75 | 2.581 | 100 |
| 40.34 | 2.236 | 50 |
| 58.38 | 1.581 | 34 |
| 69.76 | 1.348 | 41 |
| 73.35 | 1.291 | 12 |
| 87.21 | 1.118 | 6 |

Atomic structure:
a b c (Å): 6.323 6.323 6.323
angles (deg): 60.00 60.00 60.00
Fractional positions:
1 Co 0.000 0.000 0.000
2 Hg 0.000 0.000 0.500
3 Hg 0.000 0.500 0.000
4 Hg 0.000 0.500 0.500
5 Hg 0.500 0.000 0.000
6 Hg 0.500 0.000 0.500
7 Hg 0.500 0.500 0.000
8 Hg 0.500 0.500 0.500